This entry pairs a crystal structure of Tb4DyHo2Sc with its theoretical PXRD pattern. Radiation: Cu Kα, 1.54184 Å. Structure: a structure optimized by DFT (PBE).
Peak positions follow from Bragg's law for the DFT cell and can differ from measured ones.

Structural model:
a b c (Å): 4.9726 4.9726 9.9007
angles (deg): 90.00 90.00 90.00
Positions (direct):
Tb: 0.0000 0.5000 0.2450
Tb: 0.0000 0.5000 0.7550
Tb: 0.5000 0.0000 0.2450
Tb: 0.5000 0.0000 0.7550
Dy: 0.0000 0.0000 0.5000
Ho: 0.0000 0.0000 0.0000
Ho: 0.5000 0.5000 0.5000
Sc: 0.5000 0.5000 0.0000

Principal peaks in the range 10° ≤ 2θ ≤ 80°, in order of falling intensity:
31.2°, I 100; 36.1°, I 34; 61.9°, I 28; 52.1°, I 24; 36.3°, I 17; 62.1°, I 14; 65.1°, I 12; 52.0°, I 12; 76.7°, I 4; 20.0°, I 3